Entry 1:
# Tl4PbSe3
Simulated PXRD pattern, Cu Kα (weighted mean of Kα1 and Kα2). Input: a DFT-relaxed cell (PBE, the Materials Project).

Top 8 peaks for 10° ≤ 2θ ≤ 90°, sorted by position:
24.01°, intensity 16
26.72°, intensity 18
30.75°, intensity 100
32.80°, intensity 48
33.51°, intensity 9
47.07°, intensity 8
54.95°, intensity 13
61.53°, intensity 10

Cell lengths 8.633, 8.633, 13.250 Å; angles 90.00, 90.00, 90.00 degrees
Space group P4/ncc (No. 130, origin choice 2)
Inequivalent atoms, fractional coordinates:
Tl1 0.078 0.631 0.097 [16 per cell]
Pb1 0.250 0.250 0.211 [4 per cell]
Se1 0.078 0.578 0.750 [8 per cell]
Se2 0.250 0.250 0.494 [4 per cell]



Entry 2:
# Y12Ni6Pb
Simulated PXRD pattern, Cu Kα (weighted mean of Kα1 and Kα2). Input: a DFT-relaxed cell (PBE, the Materials Project).

Top 8 peaks for 10° ≤ 2θ ≤ 90°, sorted by position:
28.82°, intensity 21
31.64°, intensity 39
34.25°, intensity 100
36.69°, intensity 18
47.31°, intensity 30
54.62°, intensity 21
58.04°, intensity 29
67.62°, intensity 18

Cell lengths 9.797, 9.797, 9.797 Å; angles 90.00, 90.00, 90.00 degrees
Space group Im-3 (No. 204)
Inequivalent atoms, fractional coordinates:
Y1 0.000 0.189 0.303 [24 per cell]
Ni1 0.000 0.378 0.500 [12 per cell]
Pb1 0.000 0.000 0.000 [2 per cell]



Entry 3:
# NiN
Simulated PXRD pattern, Cu Kα (weighted mean of Kα1 and Kα2). Input: a DFT-relaxed cell (PBE, the Materials Project).

Top 8 peaks for 10° ≤ 2θ ≤ 90°, sorted by position:
34.13°, intensity 45
35.41°, intensity 38
38.60°, intensity 100
50.00°, intensity 20
61.10°, intensity 28
65.69°, intensity 31
72.64°, intensity 24
74.64°, intensity 13

Cell lengths 3.0335, 3.0335, 5.0705 Å; angles 90.00, 90.00, 120.00 degrees
Space group P6_3mc (No. 186)
Inequivalent atoms, fractional coordinates:
Ni1 0.3333 0.6667 0.0000 [2 per cell]
N1 0.3333 0.6667 0.6289 [2 per cell]



Entry 4:
# TmInCo4
Simulated PXRD pattern, Cu Kα (weighted mean of Kα1 and Kα2). Input: a DFT-relaxed cell (PBE, the Materials Project).

Top 8 peaks for 10° ≤ 2θ ≤ 90°, sorted by position:
21.96°, intensity 12
36.24°, intensity 61
42.78°, intensity 100
44.79°, intensity 17
65.20°, intensity 22
69.70°, intensity 30
76.94°, intensity 22
88.14°, intensity 10

Cell lengths 7.010, 7.010, 7.010 Å; angles 90.00, 90.00, 90.00 degrees
Space group F-43m (No. 216)
Inequivalent atoms, fractional coordinates:
Tm1 0.000 0.000 0.000 [4 per cell]
In1 0.250 0.250 0.750 [4 per cell]
Co1 0.125 0.125 0.375 [16 per cell]



Entry 5:
# Ba2In5P5
Simulated PXRD pattern, Cu Kα (weighted mean of Kα1 and Kα2). Input: a DFT-relaxed cell (PBE, the Materials Project).

Top 8 peaks for 10° ≤ 2θ ≤ 90°, sorted by position:
25.91°, intensity 23
26.41°, intensity 44
27.41°, intensity 36
27.91°, intensity 100
28.68°, intensity 24
30.69°, intensity 60
42.74°, intensity 31
53.53°, intensity 24

Cell lengths 17.494, 4.231, 17.718 Å; angles 90.00, 90.00, 90.00 degrees
Space group Pnma (No. 62)
Inequivalent atoms, fractional coordinates:
Ba1 0.020 0.250 0.121 [4 per cell]
Ba2 0.042 0.250 0.630 [4 per cell]
In1 0.157 0.250 0.310 [4 per cell]
In2 0.169 0.750 0.473 [4 per cell]
In3 0.171 0.250 0.941 [4 per cell]
In4 0.186 0.750 0.776 [4 per cell]
In5 0.211 0.750 0.126 [4 per cell]
P1 0.083 0.250 0.441 [4 per cell]
P2 0.104 0.250 0.809 [4 per cell]
P3 0.108 0.750 0.235 [4 per cell]
P4 0.115 0.750 0.012 [4 per cell]
P5 0.197 0.750 0.625 [4 per cell]



Entry 6:
# La5Sn3Cl
Simulated PXRD pattern, Cu Kα (weighted mean of Kα1 and Kα2). Input: a DFT-relaxed cell (PBE, the Materials Project).

Top 8 peaks for 10° ≤ 2θ ≤ 90°, sorted by position:
28.18°, intensity 18
31.05°, intensity 85
31.77°, intensity 100
32.05°, intensity 69
40.97°, intensity 16
45.75°, intensity 25
48.80°, intensity 24
63.18°, intensity 30

Cell lengths 9.6733, 9.6733, 6.9308 Å; angles 90.00, 90.00, 120.00 degrees
Space group P6_3/mcm (No. 193)
Inequivalent atoms, fractional coordinates:
La1 0.0000 0.2602 0.2500 [6 per cell]
La2 0.3333 0.6667 0.0000 [4 per cell]
Sn1 0.0000 0.3878 0.7500 [6 per cell]
Cl1 0.0000 0.0000 0.0000 [2 per cell]